The following is a simulated powder diffractogram of LiSm4Tm4O12. It was derived from a crystal structure in the Materials Project, relaxed with GGA-PBE, using Cu Kα (λ = 1.5418 Å).
Peak positions follow from Bragg's law for the DFT cell and can differ from measured ones.

```
data_LiSm4Tm4O12
_chemical_formula_sum 'Li1 Sm4 Tm4 O12'
_space_group_name_H-M_alt 'P 1'
_space_group_IT_number 1
_cell_length_a 5.719
_cell_length_b 6.124
_cell_length_c 8.376
_cell_angle_alpha 89.12
_cell_angle_beta 89.25
_cell_angle_gamma 88.49
loop_
_space_group_symop_operation_xyz
'x,y,z'
loop_
_atom_site_label
_atom_site_fract_x
_atom_site_fract_y
_atom_site_fract_z
Li1 0.000 0.000 0.000
Sm1 0.112 0.188 0.587
Sm2 0.142 0.356 0.139
Sm3 0.586 0.806 0.092
Sm4 0.662 0.687 0.591
Tm1 0.129 0.771 0.352
Tm2 0.140 0.707 0.823
Tm3 0.611 0.241 0.849
Tm4 0.631 0.255 0.349
O1 0.279 0.819 0.597
O2 0.302 0.087 0.305
O3 0.316 0.031 0.930
O4 0.421 0.532 0.944
O5 0.451 0.576 0.289
O6 0.479 0.330 0.606
O7 0.776 0.174 0.099
O8 0.824 0.964 0.439
O9 0.828 0.933 0.793
O10 0.917 0.441 0.761
O11 0.948 0.452 0.404
O12 0.988 0.714 0.096
```

Main lines, in order of rising 2θ (2θ = 5–70°):
d = 3.061 Å, 2θ = 29.2°, I 39.0
d = 3.007 Å, 2θ = 29.7°, I 46.2
d = 2.944 Å, 2θ = 30.4°, I 100.0
d = 2.937 Å, 2θ = 30.4°, I 55.0
d = 2.858 Å, 2θ = 31.3°, I 49.5
d = 2.117 Å, 2θ = 42.7°, I 19.0
d = 2.094 Å, 2θ = 43.2°, I 21.6
d = 2.062 Å, 2θ = 43.9°, I 17.6
d = 1.716 Å, 2θ = 53.4°, I 12.7
d = 1.669 Å, 2θ = 55.0°, I 12.6

***

The following is a simulated powder diffractogram of Sr2NbGaO6. It was derived from a crystal structure in the Materials Project, relaxed with GGA-PBE, using Cu Kα (λ = 1.5418 Å).
Peak positions follow from Bragg's law for the DFT cell and can differ from measured ones.

```
data_Sr2NbGaO6
_chemical_formula_sum 'Sr4 Nb2 Ga2 O12'
_space_group_name_H-M_alt 'I 4/m'
_space_group_IT_number 87
_space_group_name_Hall '-I 4'
_cell_length_a 5.635
_cell_length_b 5.635
_cell_length_c 8.038
_cell_angle_alpha 90.00
_cell_angle_beta 90.00
_cell_angle_gamma 90.00
loop_
_atom_site_label
_atom_site_fract_x
_atom_site_fract_y
_atom_site_fract_z
Sr1 0.000 0.500 0.250
Nb1 0.000 0.000 0.000
Ga1 0.000 0.000 0.500
O1 0.000 0.000 0.250
O2 0.217 0.282 0.500
```

Main lines, in order of rising 2θ (2θ = 5–70°):
d = 4.614 Å, 2θ = 19.2°, I 1.9
d = 2.830 Å, 2θ = 31.6°, I 100.0
d = 2.817 Å, 2θ = 31.8°, I 52.1
d = 2.307 Å, 2θ = 39.0°, I 5.8
d = 2.010 Å, 2θ = 45.1°, I 18.4
d = 1.992 Å, 2θ = 45.5°, I 34.3
d = 1.636 Å, 2θ = 56.2°, I 20.6
d = 1.629 Å, 2θ = 56.5°, I 41.0
d = 1.415 Å, 2θ = 66.0°, I 20.8
d = 1.409 Å, 2θ = 66.4°, I 9.8

***

The following is a simulated powder diffractogram of Nd3Sn5Au6. It was derived from a crystal structure in the Materials Project, relaxed with GGA-PBE, using Cu Kα (λ = 1.5418 Å).
Peak positions follow from Bragg's law for the DFT cell and can differ from measured ones.

```
data_Nd3Sn5Au6
_chemical_formula_sum 'Nd6 Sn10 Au12'
_space_group_name_H-M_alt 'P m m n'
_space_group_IT_number 59
_cell_length_a 4.617
_cell_length_b 13.769
_cell_length_c 10.369
_cell_angle_alpha 90.00
_cell_angle_beta 90.00
_cell_angle_gamma 90.00
loop_
_space_group_symop_operation_xyz
'x,y,z'
'-x,-y,-z'
'-x+1/2,-y+1/2,z'
'x+1/2,y+1/2,-z'
'x+1/2,-y,-z'
'-x+1/2,y,z'
'-x,y+1/2,-z'
'x,-y+1/2,z'
loop_
_atom_site_label
_atom_site_fract_x
_atom_site_fract_y
_atom_site_fract_z
Nd1 0.250 0.063 0.245
Nd2 0.250 0.750 0.244
Sn1 0.250 0.087 0.880
Sn2 0.250 0.607 0.524
Sn3 0.250 0.750 0.771
Au1 0.250 0.091 0.621
Au2 0.250 0.250 0.039
Au3 0.250 0.250 0.435
Au4 0.250 0.607 0.974
```

Main lines, in order of rising 2θ (2θ = 5–70°):
d = 2.764 Å, 2θ = 32.4°, I 35.6
d = 2.757 Å, 2θ = 32.5°, I 100.0
d = 2.666 Å, 2θ = 33.6°, I 14.1
d = 2.567 Å, 2θ = 35.0°, I 26.4
d = 2.308 Å, 2θ = 39.0°, I 41.4
d = 2.295 Å, 2θ = 39.3°, I 29.5
d = 2.230 Å, 2θ = 40.4°, I 14.8
d = 2.156 Å, 2θ = 41.9°, I 25.8
d = 1.627 Å, 2θ = 56.5°, I 20.6
d = 1.405 Å, 2θ = 66.6°, I 15.1